# 1
Calculated X-ray diffraction stick pattern
Compound: V4O3F9
Radiation: Cu Kα (λ = 1.5418 Å)
Structure: a structure optimized by DFT (PBE+U)
Lines closer than 0.1° are merged.

Peak list (10 most intense, 5° ≤ 2θ ≤ 70°, in order of falling intensity)
2θ = 23.55°, d = 3.778 Å, rel. 100, (1 -1 0)
2θ = 23.72°, d = 3.750 Å, rel. 49, (1 1 0)
2θ = 33.08°, d = 2.708 Å, rel. 21, (1 1 -2)
2θ = 39.68°, d = 2.271 Å, rel. 13, (1 0 3)
2θ = 53.56°, d = 1.711 Å, rel. 12, (1 1 -4)
2θ = 53.65°, d = 1.708 Å, rel. 11, (2 -2 2)
2θ = 48.10°, d = 1.892 Å, rel. 11, (0 0 4)
2θ = 48.55°, d = 1.875 Å, rel. 10, (2 2 0)
2θ = 48.26°, d = 1.886 Å, rel. 10, (2 -2 0)
2θ = 39.84°, d = 2.263 Å, rel. 7, (2 -1 1)

Structural model:
Cell lengths 5.231, 5.417, 7.574 Å; angles 92.52, 90.00, 90.33 degrees
Space group P1 (No. 1)
One atom of each set of equivalent atoms:
V (0.000, 0.000, 0.000) [1 per cell]
V (0.037, 0.971, 0.506) [1 per cell]
V (0.509, 0.508, 0.013) [1 per cell]
V (0.554, 0.497, 0.512) [1 per cell]
O (0.326, 0.755, 0.046) [1 per cell]
O (0.736, 0.753, 0.546) [1 per cell]
O (0.755, 0.185, 0.963) [1 per cell]
F (0.136, 0.971, 0.757) [1 per cell]
F (0.238, 0.670, 0.457) [1 per cell]
F (0.254, 0.255, 0.064) [1 per cell]
F (0.341, 0.188, 0.463) [1 per cell]
F (0.436, 0.461, 0.757) [1 per cell]
F (0.633, 0.468, 0.256) [1 per cell]
F (0.830, 0.679, 0.953) [1 per cell]
F (0.832, 0.267, 0.557) [1 per cell]
F (0.941, 0.969, 0.254) [1 per cell]

***

# 2
Calculated X-ray diffraction stick pattern
Compound: FeOF
Radiation: Cu Kα (λ = 1.5418 Å)
Structure: a structure optimized by DFT (PBE+U)
Lines closer than 0.1° are merged.

Peak list (10 most intense, 5° ≤ 2θ ≤ 70°, in order of falling intensity)
2θ = 34.56°, d = 2.595 Å, rel. 100, (0 1 2)
2θ = 26.42°, d = 3.373 Å, rel. 97, (2 0 2)
2θ = 26.19°, d = 3.402 Å, rel. 97, (2 0 -2)
2θ = 52.01°, d = 1.758 Å, rel. 28, (2 1 4)
2θ = 51.75°, d = 1.767 Å, rel. 28, (2 1 -4)
2θ = 52.15°, d = 1.754 Å, rel. 26, (4 1 2)
2θ = 51.89°, d = 1.762 Å, rel. 25, (4 1 -2)
2θ = 65.66°, d = 1.422 Å, rel. 21, (0 1 6)
2θ = 39.57°, d = 2.277 Å, rel. 20, (2 1 2)
2θ = 39.41°, d = 2.286 Å, rel. 19, (2 1 -2)

Structural model:
Cell lengths 9.552, 3.087, 9.613 Å; angles 90.00, 90.49, 90.00 degrees
Space group Pm (No. 6)
One atom of each set of equivalent atoms:
Fe (0.000, 0.000, 0.000) [1 per cell]
Fe (0.011, 0.000, 0.490) [1 per cell]
Fe (0.262, 0.500, 0.280) [1 per cell]
Fe (0.292, 0.500, 0.753) [1 per cell]
Fe (0.500, 0.000, 0.500) [1 per cell]
Fe (0.514, 0.000, 0.994) [1 per cell]
Fe (0.791, 0.500, 0.251) [1 per cell]
Fe (0.803, 0.500, 0.739) [1 per cell]
O (0.115, 0.500, 0.407) [1 per cell]
O (0.369, 0.000, 0.345) [1 per cell]
O (0.374, 0.000, 0.856) [1 per cell]
O (0.424, 0.500, 0.600) [1 per cell]
O (0.858, 0.000, 0.345) [1 per cell]
O (0.869, 0.000, 0.844) [1 per cell]
O (0.922, 0.500, 0.095) [1 per cell]
O (0.930, 0.500, 0.594) [1 per cell]
F (0.122, 0.500, 0.905) [1 per cell]
F (0.177, 0.000, 0.150) [1 per cell]
F (0.180, 0.000, 0.667) [1 per cell]
F (0.427, 0.500, 0.098) [1 per cell]
F (0.615, 0.500, 0.402) [1 per cell]
F (0.619, 0.500, 0.907) [1 per cell]
F (0.662, 0.000, 0.146) [1 per cell]
F (0.674, 0.000, 0.651) [1 per cell]

***

# 3
Calculated X-ray diffraction stick pattern
Compound: Na3FeP2O8
Radiation: Cu Kα (λ = 1.5418 Å)
Structure: a structure optimized by DFT (PBE+U)
Lines closer than 0.1° are merged.

Peak list (10 most intense, 5° ≤ 2θ ≤ 70°, in order of falling intensity)
2θ = 34.15°, d = 2.626 Å, rel. 100, (3 1 0)
2θ = 23.47°, d = 3.790 Å, rel. 87, (2 0 2)
2θ = 32.17°, d = 2.783 Å, rel. 61, (1 1 -4)
2θ = 12.59°, d = 7.033 Å, rel. 58, (0 0 2)
2θ = 48.01°, d = 1.895 Å, rel. 33, (4 0 4)
2θ = 32.60°, d = 2.747 Å, rel. 27, (2 0 4)
2θ = 35.28°, d = 2.544 Å, rel. 25, (0 2 0)
2θ = 37.53°, d = 2.396 Å, rel. 24, (1 1 -5)
2θ = 31.48°, d = 2.842 Å, rel. 21, (2 0 -4)
2θ = 60.41°, d = 1.532 Å, rel. 21, (6 0 0)

Structural model:
Cell lengths 9.202, 5.088, 14.074 Å; angles 90.00, 92.02, 90.00 degrees
Space group C2/c (No. 15)
One atom of each set of equivalent atoms:
Na (0.000, 0.049, 0.250) [4 per cell]
Na (0.169, 0.459, 0.634) [8 per cell]
Fe (0.000, 0.000, 0.000) [4 per cell]
P (0.168, 0.480, 0.887) [8 per cell]
O (0.075, 0.221, 0.885) [8 per cell]
O (0.109, 0.327, 0.462) [8 per cell]
O (0.165, 0.387, 0.290) [8 per cell]
O (0.171, 0.100, 0.085) [8 per cell]

***

# 4
Calculated X-ray diffraction stick pattern
Compound: LiMnF4
Radiation: Cu Kα (λ = 1.5418 Å)
Structure: a structure optimized by DFT (PBE+U)
Lines closer than 0.1° are merged.

Peak list (10 most intense, 5° ≤ 2θ ≤ 70°, in order of falling intensity)
2θ = 15.78°, d = 5.617 Å, rel. 100, (2 0 0)
2θ = 24.05°, d = 3.700 Å, rel. 74, (1 1 -1)
2θ = 26.58°, d = 3.354 Å, rel. 44, (1 1 1)
2θ = 49.25°, d = 1.850 Å, rel. 20, (2 2 -2)
2θ = 39.75°, d = 2.267 Å, rel. 17, (2 2 -1)
2θ = 43.54°, d = 2.078 Å, rel. 17, (5 1 -1)
2θ = 54.72°, d = 1.678 Å, rel. 15, (4 2 -2)
2θ = 31.05°, d = 2.880 Å, rel. 14, (3 1 -1)
2θ = 34.90°, d = 2.571 Å, rel. 13, (0 0 2)
2θ = 62.27°, d = 1.491 Å, rel. 13, (3 3 1)

Structural model:
Cell lengths 11.541, 5.329, 5.281 Å; angles 90.00, 103.23, 90.00 degrees
Space group C2/c (No. 15)
One atom of each set of equivalent atoms:
Li (0.000, 0.097, 0.250) [4 per cell]
Mn (0.250, 0.250, 0.000) [4 per cell]
F (0.096, 0.129, 0.995) [8 per cell]
F (0.195, 0.415, 0.677) [8 per cell]

***

# 5
Calculated X-ray diffraction stick pattern
Compound: KVOF3
Radiation: Cu Kα (λ = 1.5418 Å)
Structure: a structure optimized by DFT (PBE+U)
Lines closer than 0.1° are merged.

Peak list (10 most intense, 5° ≤ 2θ ≤ 70°, in order of falling intensity)
2θ = 28.04°, d = 3.182 Å, rel. 100, (2 2 -1)
2θ = 26.57°, d = 3.354 Å, rel. 72, (4 0 0)
2θ = 30.99°, d = 2.886 Å, rel. 53, (2 2 1)
2θ = 25.02°, d = 3.560 Å, rel. 50, (0 0 2)
2θ = 47.22°, d = 1.925 Å, rel. 49, (0 4 0)
2θ = 13.20°, d = 6.708 Å, rel. 48, (2 0 0)
2θ = 15.67°, d = 5.655 Å, rel. 43, (2 0 -1)
2θ = 25.15°, d = 3.540 Å, rel. 42, (2 0 -2)
2θ = 54.19°, d = 1.693 Å, rel. 33, (8 0 -2)
2θ = 49.52°, d = 1.841 Å, rel. 25, (2 0 -4)

Structural model:
Cell lengths 13.877, 7.700, 7.363 Å; angles 90.00, 104.78, 90.00 degrees
Space group C2/m (No. 12)
One atom of each set of equivalent atoms:
K (0.108, 0.000, 0.268) [4 per cell]
K (0.142, 0.500, 0.352) [4 per cell]
V (0.146, 0.254, 0.818) [8 per cell]
O (0.026, 0.287, 0.781) [8 per cell]
F (0.140, 0.000, 0.877) [4 per cell]
F (0.165, 0.201, 0.577) [8 per cell]
F (0.186, 0.500, 0.773) [4 per cell]
F (0.191, 0.285, 0.096) [8 per cell]

***

# 6
Calculated X-ray diffraction stick pattern
Compound: VF5
Radiation: Cu Kα (λ = 1.5418 Å)
Structure: a structure optimized by DFT (PBE+U)
Lines closer than 0.1° are merged.

Peak list (10 most intense, 5° ≤ 2θ ≤ 70°, in order of falling intensity)
2θ = 18.40°, d = 4.821 Å, rel. 100, (1 1 0)
2θ = 25.82°, d = 3.450 Å, rel. 40, (1 1 -2)
2θ = 23.34°, d = 3.811 Å, rel. 29, (2 0 0)
2θ = 24.17°, d = 3.682 Å, rel. 23, (2 0 -2)
2θ = 24.71°, d = 3.603 Å, rel. 21, (0 0 2)
2θ = 47.73°, d = 1.906 Å, rel. 13, (4 0 0)
2θ = 28.68°, d = 3.113 Å, rel. 11, (0 2 0)
2θ = 49.10°, d = 1.856 Å, rel. 11, (1 3 -2)
2θ = 43.67°, d = 2.073 Å, rel. 10, (2 0 -4)
2θ = 38.25°, d = 2.353 Å, rel. 8, (3 1 0)

Structural model:
Cell lengths 8.773, 6.225, 8.294 Å; angles 90.00, 119.68, 90.00 degrees
Space group Cc (No. 9)
One atom of each set of equivalent atoms:
V (0.000, 0.013, 0.000) [4 per cell]
F (0.001, 0.087, 0.796) [4 per cell]
F (0.021, 0.269, 0.505) [4 per cell]
F (0.226, 0.022, 0.165) [4 per cell]
F (0.275, 0.474, 0.922) [4 per cell]
F (0.479, 0.237, 0.588) [4 per cell]

***

# 7
Calculated X-ray diffraction stick pattern
Compound: Li9Mn7O16
Radiation: Cu Kα (λ = 1.5418 Å)
Structure: a structure optimized by DFT (PBE+U)
Lines closer than 0.1° are merged.

Peak list (10 most intense, 5° ≤ 2θ ≤ 70°, in order of falling intensity)
2θ = 18.18°, d = 4.880 Å, rel. 100, (8 0 0)
2θ = 44.02°, d = 2.057 Å, rel. 56, (11 1 1)
2θ = 40.41°, d = 2.232 Å, rel. 37, (10 0 -2)
2θ = 36.15°, d = 2.485 Å, rel. 28, (3 1 1)
2θ = 33.45°, d = 2.679 Å, rel. 20, (2 0 -2)
2θ = 60.81°, d = 1.523 Å, rel. 17, (1 1 3)
2θ = 61.73°, d = 1.503 Å, rel. 17, (21 1 -1)
2θ = 65.02°, d = 1.435 Å, rel. 13, (0 2 0)
2θ = 63.02°, d = 1.475 Å, rel. 11, (22 0 2)
2θ = 46.79°, d = 1.942 Å, rel. 10, (13 1 -1)

Structural model:
Cell lengths 39.043, 2.869, 5.401 Å; angles 90.00, 90.63, 90.00 degrees
Space group C2/m (No. 12)
One atom of each set of equivalent atoms:
Li (0.000, 0.000, 0.000) [2 per cell]
Li (0.059, 0.500, 0.817) [4 per cell]
Li (0.060, 0.000, 0.318) [4 per cell]
Li (0.187, 0.000, 0.937) [4 per cell]
Li (0.187, 0.500, 0.438) [4 per cell]
Mn (0.000, 0.500, 0.500) [2 per cell]
Mn (0.125, 0.000, 0.627) [4 per cell]
Mn (0.125, 0.500, 0.126) [4 per cell]
Mn (0.250, 0.000, 0.250) [4 per cell]
O (0.028, 0.500, 0.203) [4 per cell]
O (0.029, 0.000, 0.641) [4 per cell]
O (0.096, 0.000, 0.986) [4 per cell]
O (0.097, 0.500, 0.487) [4 per cell]
O (0.154, 0.000, 0.262) [4 per cell]
O (0.154, 0.500, 0.764) [4 per cell]
O (0.221, 0.000, 0.614) [4 per cell]
O (0.221, 0.500, 0.114) [4 per cell]

***

# 8
Calculated X-ray diffraction stick pattern
Compound: LiVTeO5
Radiation: Cu Kα (λ = 1.5418 Å)
Structure: a structure optimized by DFT (PBE+U)
Lines closer than 0.1° are merged.

Peak list (10 most intense, 5° ≤ 2θ ≤ 70°, in order of falling intensity)
2θ = 20.10°, d = 4.417 Å, rel. 100, (1 1 1)
2θ = 27.50°, d = 3.243 Å, rel. 45, (1 2 1)
2θ = 13.59°, d = 6.515 Å, rel. 40, (0 1 1)
2θ = 23.07°, d = 3.855 Å, rel. 37, (0 2 1)
2θ = 24.90°, d = 3.577 Å, rel. 36, (1 1 2)
2θ = 31.38°, d = 2.851 Å, rel. 35, (1 1 3)
2θ = 18.24°, d = 4.864 Å, rel. 29, (1 1 0)
2θ = 33.97°, d = 2.639 Å, rel. 29, (0 0 4)
2θ = 40.86°, d = 2.209 Å, rel. 27, (2 2 2)
2θ = 36.73°, d = 2.447 Å, rel. 26, (0 3 2)

Structural model:
Cell lengths 6.009, 8.281, 10.556 Å; angles 90.00, 90.00, 90.00 degrees
Space group P2_12_12_1 (No. 19)
One atom of each set of equivalent atoms:
Li (0.154, 0.080, 0.444) [4 per cell]
V (0.044, 0.485, 0.355) [4 per cell]
Te (0.128, 0.644, 0.637) [4 per cell]
O (0.069, 0.978, 0.860) [4 per cell]
O (0.107, 0.492, 0.181) [4 per cell]
O (0.150, 0.310, 0.400) [4 per cell]
O (0.180, 0.648, 0.453) [4 per cell]
O (0.229, 0.993, 0.116) [4 per cell]

***

# 9
Calculated X-ray diffraction stick pattern
Compound: Ba3MgTiWO9
Radiation: Cu Kα (λ = 1.5418 Å)
Structure: a structure optimized by DFT (PBE+U)
Lines closer than 0.1° are merged.

Peak list (10 most intense, 5° ≤ 2θ ≤ 70°, in order of falling intensity)
2θ = 30.43°, d = 2.937 Å, rel. 100, (1 1 0)
2θ = 43.57°, d = 2.077 Å, rel. 22, (2 0 4)
2θ = 25.51°, d = 3.492 Å, rel. 21, (1 0 3)
2θ = 47.67°, d = 1.908 Å, rel. 15, (1 0 7)
2θ = 54.08°, d = 1.696 Å, rel. 15, (2 1 4)
2θ = 40.13°, d = 2.247 Å, rel. 14, (2 0 3)
2θ = 57.62°, d = 1.600 Å, rel. 13, (2 0 7)
2θ = 54.11°, d = 1.695 Å, rel. 13, (3 0 0)
2θ = 63.37°, d = 1.468 Å, rel. 12, (2 2 0)
2θ = 35.81°, d = 2.508 Å, rel. 11, (1 0 5)

Structural model:
Cell lengths 5.8709, 5.8709, 14.4162 Å; angles 90.00, 90.00, 120.00 degrees
Space group P6_3mc (No. 186)
One atom of each set of equivalent atoms:
Ba (0.0000, 0.0000, 0.0000) [2 per cell]
Ba (0.3333, 0.6667, 0.1484) [2 per cell]
Ba (0.3333, 0.6667, 0.8393) [2 per cell]
Mg (0.0000, 0.0000, 0.2437) [2 per cell]
Ti (0.3333, 0.6667, 0.6039) [2 per cell]
W (0.3333, 0.6667, 0.4028) [2 per cell]
O (0.0332, 0.5166, 0.4917) [6 per cell]
O (0.1713, 0.3426, 0.6609) [6 per cell]
O (0.1728, 0.3455, 0.3316) [6 per cell]

***

# 10
Calculated X-ray diffraction stick pattern
Compound: Sr3MgMn4O12
Radiation: Cu Kα (λ = 1.5418 Å)
Structure: a structure optimized by DFT (PBE+U)
Lines closer than 0.1° are merged.

Peak list (10 most intense, 5° ≤ 2θ ≤ 70°, in order of falling intensity)
2θ = 32.08°, d = 2.790 Å, rel. 100, (2 -1 0)
2θ = 31.57°, d = 2.834 Å, rel. 85, (1 -2 0)
2θ = 33.91°, d = 2.644 Å, rel. 83, (1 0 3)
2θ = 32.70°, d = 2.739 Å, rel. 69, (1 1 -1)
2θ = 26.39°, d = 3.377 Å, rel. 67, (0 1 2)
2θ = 18.27°, d = 4.857 Å, rel. 65, (1 0 0)
2θ = 19.97°, d = 4.447 Å, rel. 65, (0 1 -1)
2θ = 17.98°, d = 4.934 Å, rel. 62, (0 1 0)
2θ = 42.02°, d = 2.150 Å, rel. 59, (-2 2 2)
2θ = 41.42°, d = 2.180 Å, rel. 56, (0 1 -4)

Structural model:
Cell lengths 5.579, 5.670, 9.565 Å; angles 91.69, 90.03, 119.45 degrees
Space group P1 (No. 1)
One atom of each set of equivalent atoms:
Sr (0.000, 0.000, 0.000) [1 per cell]
Sr (0.217, 0.435, 0.354) [1 per cell]
Sr (0.574, 0.148, 0.588) [1 per cell]
Mg (0.791, 0.583, 0.183) [1 per cell]
Mn (0.532, 0.066, 0.199) [1 per cell]
Mn (0.600, 0.201, 0.918) [1 per cell]
Mn (0.884, 0.770, 0.436) [1 per cell]
Mn (0.917, 0.834, 0.705) [1 per cell]
O (0.047, 0.096, 0.536) [1 per cell]
O (0.060, 0.670, 0.571) [1 per cell]
O (0.161, 0.846, 0.279) [1 per cell]
O (0.288, 0.085, 0.798) [1 per cell]
O (0.437, 0.308, 0.098) [1 per cell]
O (0.439, 0.878, 0.025) [1 per cell]
O (0.609, 0.669, 0.571) [1 per cell]
O (0.682, 0.845, 0.280) [1 per cell]
O (0.683, 0.367, 0.355) [1 per cell]
O (0.789, 0.576, 0.847) [1 per cell]
O (0.796, 0.083, 0.798) [1 per cell]
O (0.871, 0.308, 0.099) [1 per cell]

***

Copy entry 2 word for word.
Calculated X-ray diffraction stick pattern
Compound: FeOF
Radiation: Cu Kα (λ = 1.5418 Å)
Structure: a structure optimized by DFT (PBE+U)
Lines closer than 0.1° are merged.

Peak list (10 most intense, 5° ≤ 2θ ≤ 70°, in order of falling intensity)
2θ = 34.56°, d = 2.595 Å, rel. 100, (0 1 2)
2θ = 26.42°, d = 3.373 Å, rel. 97, (2 0 2)
2θ = 26.19°, d = 3.402 Å, rel. 97, (2 0 -2)
2θ = 52.01°, d = 1.758 Å, rel. 28, (2 1 4)
2θ = 51.75°, d = 1.767 Å, rel. 28, (2 1 -4)
2θ = 52.15°, d = 1.754 Å, rel. 26, (4 1 2)
2θ = 51.89°, d = 1.762 Å, rel. 25, (4 1 -2)
2θ = 65.66°, d = 1.422 Å, rel. 21, (0 1 6)
2θ = 39.57°, d = 2.277 Å, rel. 20, (2 1 2)
2θ = 39.41°, d = 2.286 Å, rel. 19, (2 1 -2)

Structural model:
Cell lengths 9.552, 3.087, 9.613 Å; angles 90.00, 90.49, 90.00 degrees
Space group Pm (No. 6)
One atom of each set of equivalent atoms:
Fe (0.000, 0.000, 0.000) [1 per cell]
Fe (0.011, 0.000, 0.490) [1 per cell]
Fe (0.262, 0.500, 0.280) [1 per cell]
Fe (0.292, 0.500, 0.753) [1 per cell]
Fe (0.500, 0.000, 0.500) [1 per cell]
Fe (0.514, 0.000, 0.994) [1 per cell]
Fe (0.791, 0.500, 0.251) [1 per cell]
Fe (0.803, 0.500, 0.739) [1 per cell]
O (0.115, 0.500, 0.407) [1 per cell]
O (0.369, 0.000, 0.345) [1 per cell]
O (0.374, 0.000, 0.856) [1 per cell]
O (0.424, 0.500, 0.600) [1 per cell]
O (0.858, 0.000, 0.345) [1 per cell]
O (0.869, 0.000, 0.844) [1 per cell]
O (0.922, 0.500, 0.095) [1 per cell]
O (0.930, 0.500, 0.594) [1 per cell]
F (0.122, 0.500, 0.905) [1 per cell]
F (0.177, 0.000, 0.150) [1 per cell]
F (0.180, 0.000, 0.667) [1 per cell]
F (0.427, 0.500, 0.098) [1 per cell]
F (0.615, 0.500, 0.402) [1 per cell]
F (0.619, 0.500, 0.907) [1 per cell]
F (0.662, 0.000, 0.146) [1 per cell]
F (0.674, 0.000, 0.651) [1 per cell]